For Fe2Te2WC10O10, a GGA+U-relaxed structure gives the computed powder X-ray diffraction pattern in this record (Cu Kα, 1.54184 Å).
No peak broadening, texture or thermal motion is included.

Top 10 peaks for 5 to 70 degrees two-theta, sorted by position:
hkl 0 1 1, 10.4 deg, I 1000; hkl 0 1 -1, 11.8 deg, I 536; hkl 1 0 0, 12.1 deg, I 243; hkl 0 0 2, 12.6 deg, I 375; hkl 1 0 1, 13.1 deg, I 326; hkl 1 0 -1, 14.3 deg, I 145; hkl 1 1 0, 14.7 deg, I 150; hkl -1 1 1, 16.9 deg, I 108; hkl 2 0 -2, 28.8 deg, I 107; hkl 2 1 4, 33.4 deg, I 120

Crystal structure
```
50
Lattice="7.3593 0.0000 0.0000 0.7542 9.7954 0.0000 1.7019 1.9124 14.0055" Properties=species:S:1:pos:R:3 pbc="T T T"
Fe 1.4442 1.9214 1.8966
Fe 2.3613 5.3586 3.2223
Fe 7.4542 6.3492 10.7832
Fe 8.3713 9.7864 12.1089
Te 2.2353 7.6063 11.4810
Te 3.5550 3.1339 2.7455
Te 6.2605 8.5739 11.2600
Te 7.5802 4.1015 2.5245
W 1.5371 2.8916 4.6858
W 8.2784 8.8162 9.3198
C 1.3608 6.6925 3.9003
C 2.5991 10.6127 12.2267
C 1.9274 7.5213 8.0725
C 2.6362 9.8651 8.9245
C 1.6674 2.3512 0.1992
C 2.2579 1.0047 5.0950
C 2.6439 6.0142 1.6122
C 2.9656 3.2990 6.1127
C 2.3696 0.3843 1.9642
C 3.8556 5.9102 4.0690
C 5.9599 5.7976 9.9365
C 7.4459 11.3235 12.0413
C 6.8498 8.4088 7.8928
C 7.1716 5.6936 12.3933
C 7.5576 10.7031 8.9105
C 8.1481 9.3566 13.8063
C 7.1793 1.8427 5.0810
C 7.8881 4.1865 5.9330
C 7.2164 1.0951 1.7789
C 8.4547 5.0153 10.1052
O 1.7093 4.1201 9.7010
O 2.4985 6.8368 7.3287
O 3.6174 11.1539 12.3495
O 3.5016 4.5438 13.0854
O 3.6042 10.4661 8.6953
O 3.3888 9.7377 5.3741
O 2.8144 6.4410 0.5444
O 3.7712 3.5240 6.9153
O 3.7180 9.1849 1.9925
O 4.9860 5.4394 9.4246
O 4.8294 6.2685 4.5809
O 6.0975 2.5229 12.0130
O 6.0443 8.1838 7.0902
O 7.0011 5.2668 13.4611
O 6.4266 1.9701 8.6314
O 6.2113 1.2417 5.3102
O 6.3139 7.1640 0.9201
O 6.1981 0.5539 1.6560
O 7.3170 4.8710 6.6769
O 8.1062 7.5877 4.3045
```